[1]
# ReTeNO
Computed PXRD pattern, Cu Kα (weighted mean of Kα1 and Kα2). Input: DFT lattice parameters and positions (PBE).
Kinematic intensities with the Lorentz-polarization factor, no thermal factor.

```
ReTeNO
1.0
3.1719 0.0000 0.0000
0.0000 5.9677 0.0000
0.0000 0.0000 7.2722
Re Te N O
2 2 2 2
Cartesian
0.0000 0.0913 0.0000
0.0000 5.8764 3.6361
1.5860 2.1405 2.7429
1.5860 3.8271 6.3790
1.5860 1.0169 0.4557
1.5860 4.9508 4.0918
0.0000 0.5965 5.4428
0.0000 5.3711 1.8067
```

Top 8 peaks for 2θ from 15° to 90°, by angle:
2theta, I/Imax
24.48, 62
28.75, 66
31.95, 100
32.43, 36
37.63, 33
40.66, 51
41.55, 32
48.82, 29



[2]
# TbSbN2O
Computed PXRD pattern, Cu Kα (weighted mean of Kα1 and Kα2). Input: DFT lattice parameters and positions (PBE).
Kinematic intensities with the Lorentz-polarization factor, no thermal factor.

```
TbSbN2O
1.0
8.0646 0.0000 0.0000
0.0000 7.8181 0.0000
-7.8184 0.0000 8.1102
Tb Sb N O
8 8 16 8
Cartesian
-0.4298 0.0949 1.8038
-4.3390 3.8142 5.8589
-0.0028 3.9569 1.9426
-3.9120 7.7703 5.9978
4.1582 0.0478 2.1125
0.2490 3.8612 6.1676
4.5852 4.0040 2.2513
0.6761 7.7232 6.3064
2.0965 1.9468 0.1875
-1.8127 1.9623 4.2426
2.2170 5.7853 0.1033
-1.6922 5.9419 4.1584
1.9385 1.8762 3.9518
-1.9707 2.0329 8.0069
2.0589 5.8559 3.8677
-1.8502 5.8714 7.9228
-2.3691 0.0340 3.8465
-6.2783 3.8751 7.9016
-1.5305 3.9473 3.7991
-5.4397 7.7799 7.8542
1.2679 1.7973 2.0484
-2.6412 2.1118 6.1035
-3.7586 5.5596 7.3140
0.1506 6.1677 3.2589
0.0956 1.6505 4.8513
4.0048 2.2586 0.7962
2.8875 5.7063 2.0067
-1.0217 6.0209 6.0618
5.6859 0.0383 0.2560
1.7767 3.8708 4.3111
6.5245 3.9431 0.2086
2.6154 7.7842 4.2637
-3.8096 5.4771 4.3627
0.0996 6.2502 0.3075
-5.5235 1.8494 6.1489
-1.6143 2.0597 2.0938
1.8605 5.7585 6.0164
5.7697 5.9687 1.9613
0.1467 1.5680 7.8027
4.0558 2.3411 3.7476
```

Top 8 peaks for 2θ from 15° to 90°, by angle:
2theta, I/Imax
30.80, 26
31.79, 100
31.89, 58
44.69, 15
46.46, 17
56.56, 15
56.76, 20
57.38, 15



[3]
# TmSbN2O
Computed PXRD pattern, Cu Kα (weighted mean of Kα1 and Kα2). Input: DFT lattice parameters and positions (PBE).
Kinematic intensities with the Lorentz-polarization factor, no thermal factor.

```
TmSbN2O
1.0
6.4142 0.0000 0.0000
-3.2071 5.5549 0.0000
0.0000 0.0000 11.8963
Tm Sb N O
6 6 12 6
Cartesian
0.0000 0.0000 0.0000
0.0000 0.0000 5.9481
0.0000 3.7032 5.6219
0.0000 3.7032 11.5700
3.2071 1.8516 5.6219
3.2071 1.8516 11.5700
-1.0695 1.8524 2.7977
-2.1376 3.7025 8.7458
2.1389 0.0000 2.7977
1.0695 1.8524 8.7458
4.2753 0.0000 8.7458
2.1376 3.7025 2.7977
-0.9972 1.7273 4.7357
-1.1474 1.9874 0.8705
-2.0597 3.5674 6.8187
-2.2099 3.8276 10.6838
1.9945 0.0000 4.7357
0.9972 1.7273 10.6838
2.2949 0.0000 0.8705
1.1474 1.9874 6.8187
4.1193 0.0000 6.8187
2.0597 3.5674 0.8705
4.4197 0.0000 10.6838
2.2099 3.8276 4.7357
0.0000 0.0000 2.4631
0.0000 0.0000 8.4112
0.0000 3.7032 3.0777
0.0000 3.7032 9.0258
3.2071 1.8516 3.0777
3.2071 1.8516 9.0258
```

Top 8 peaks for 2θ from 15° to 90°, by angle:
2theta, I/Imax
27.82, 21
28.83, 43
30.05, 35
31.70, 100
49.21, 37
54.40, 23
58.74, 32
59.73, 17



[4]
# TmSbN2O
Computed PXRD pattern, Cu Kα (weighted mean of Kα1 and Kα2). Input: DFT lattice parameters and positions (PBE).
Kinematic intensities with the Lorentz-polarization factor, no thermal factor.

```
TmSbN2O
1.0
8.0781 0.0000 0.0000
0.0000 7.6749 0.0000
-7.7302 0.0000 8.0958
Tm Sb N O
8 8 16 8
Cartesian
-0.4435 0.0891 1.7071
-4.3086 3.7484 5.7550
-3.9158 0.0070 5.9278
-0.0507 3.8304 1.8799
0.3985 3.8444 6.2159
4.2637 7.6679 2.1680
4.6565 3.9265 2.3408
0.7914 7.5858 6.3888
2.1456 1.9199 0.2359
-1.7195 1.9175 4.2838
2.2667 5.6796 0.1137
-1.5984 5.8327 4.1616
1.9462 1.8422 3.9342
-1.9189 1.9953 7.9822
2.0673 5.7573 3.8120
-1.7978 5.7550 7.8600
-2.3789 0.0253 3.9158
-6.2440 3.8121 7.9637
-1.4464 3.8605 3.7541
-5.3115 7.6518 7.8020
1.2165 1.7608 2.0557
-2.6486 2.0767 6.1037
-3.6777 5.4413 7.1907
0.1874 6.0710 3.1427
0.1604 1.6039 4.9531
4.0255 2.2336 0.9052
2.9964 5.5982 1.9922
-0.8687 5.9141 6.0401
5.6594 0.0231 0.2939
1.7942 3.8143 4.3418
6.5918 3.8627 0.1321
2.7267 7.6496 4.1800
-3.7239 5.3143 4.3005
0.1412 6.1980 0.2526
-5.4652 1.8375 6.1531
-1.6001 1.9999 2.1052
1.9479 5.6750 5.9906
5.8130 5.8374 1.9427
0.2066 1.4769 7.8433
4.0718 2.3606 3.7953
```

Top 8 peaks for 2θ from 15° to 90°, by angle:
2theta, I/Imax
27.81, 12
30.60, 18
31.98, 32
32.16, 100
34.64, 19
47.38, 15
57.06, 14
58.31, 12



[5]
# SmScNO
Computed PXRD pattern, Cu Kα (weighted mean of Kα1 and Kα2). Input: DFT lattice parameters and positions (PBE).
Kinematic intensities with the Lorentz-polarization factor, no thermal factor.

```
SmScNO
1.0
7.8731 0.0000 0.0000
0.0000 6.4328 0.0000
0.0000 0.0000 4.8134
Sm Sc N O
4 4 4 4
Cartesian
1.0386 0.4009 1.2033
1.0386 2.8156 3.6100
6.8345 3.6173 1.2033
6.8345 6.0320 3.6100
3.0385 3.7821 1.2033
3.0385 5.8672 3.6100
4.8346 0.5657 1.2033
4.8346 2.6508 3.6100
3.0946 3.7752 3.6100
3.0946 5.8740 1.2033
4.7785 0.5588 3.6100
4.7785 2.6576 1.2033
1.2222 0.5147 3.6100
1.2222 2.7017 1.2033
6.6509 3.7311 3.6100
6.6509 5.9181 1.2033
```

Top 8 peaks for 2θ from 15° to 90°, by angle:
2theta, I/Imax
25.74, 41
26.55, 35
27.74, 34
32.51, 100
33.51, 29
37.36, 38
48.33, 31
62.64, 27



[6]
# ScTaN2O
Computed PXRD pattern, Cu Kα (weighted mean of Kα1 and Kα2). Input: DFT lattice parameters and positions (PBE).
Kinematic intensities with the Lorentz-polarization factor, no thermal factor.

```
ScTaN2O
1.0
7.6427 0.0000 0.0000
0.0000 7.6971 0.0000
-7.3077 0.0000 7.7583
Sc Ta N O
8 8 16 8
Cartesian
0.2740 1.6954 0.1893
-3.3798 2.1532 4.0685
-0.0490 5.6957 3.6204
-3.7028 5.8499 7.4996
4.0379 1.8472 0.2588
0.3840 2.0014 4.1380
3.7149 5.5440 3.6899
0.0610 6.0017 7.5691
-1.7907 0.0207 2.0532
-5.4445 3.8279 5.9324
1.9764 3.9380 1.7252
-1.6774 7.6077 5.6044
2.0125 0.0894 2.1540
-1.6413 3.7591 6.0332
5.7796 3.8693 1.8260
2.1257 7.6764 5.7051
-1.1561 5.7479 1.6838
-4.8099 5.7978 5.5630
-5.9644 4.5152 7.7432
-2.3106 7.0305 3.8641
0.0893 0.5120 2.4733
-3.5646 3.3366 6.3524
-1.4605 1.8660 5.1279
2.1933 1.9826 1.2487
-1.8582 5.7145 6.5096
1.7956 5.8311 2.6304
3.8997 4.3605 1.4059
0.2458 7.1852 5.2851
2.6457 0.6666 3.8943
6.2995 3.1819 0.0151
5.1450 1.8993 2.1954
1.4912 1.9492 6.0745
-2.2969 4.1782 3.8683
-5.9508 7.3675 7.7475
-3.5391 0.3962 6.4632
0.1147 3.4524 2.5840
0.2204 4.2447 5.1743
3.8742 7.3009 1.2951
6.2858 0.3296 0.0108
2.6320 3.5189 3.8900
```

Top 8 peaks for 2θ from 15° to 90°, by angle:
2theta, I/Imax
22.93, 52
23.11, 60
23.30, 57
32.18, 50
32.78, 97
33.05, 100
33.64, 46
59.95, 23



[7]
# ScTcNO
Computed PXRD pattern, Cu Kα (weighted mean of Kα1 and Kα2). Input: DFT lattice parameters and positions (PBE).
Kinematic intensities with the Lorentz-polarization factor, no thermal factor.

```
ScTcNO
1.0
5.3270 0.0000 0.0000
0.0000 7.4586 0.0000
0.0000 0.0000 4.9931
Sc Tc N O
4 4 4 4
Cartesian
0.1187 0.9795 0.0000
2.5447 0.9795 2.4966
2.7822 6.4791 0.0000
5.2082 6.4791 2.4966
0.6648 3.5890 3.3011
1.9987 3.5890 0.8045
3.3283 3.8697 3.3011
4.6622 3.8697 0.8045
0.4949 2.4926 1.6574
2.1686 2.4926 4.1539
3.1584 4.9660 1.6574
4.8321 4.9660 4.1539
1.3287 7.2980 3.7089
1.3348 7.2980 1.2123
3.9922 0.1606 3.7089
3.9983 0.1606 1.2123
```

Top 8 peaks for 2θ from 15° to 90°, by angle:
2theta, I/Imax
23.86, 100
34.41, 48
38.01, 56
38.30, 41
40.23, 95
43.63, 44
45.63, 64
53.67, 35



[8]
# TmScNO
Computed PXRD pattern, Cu Kα (weighted mean of Kα1 and Kα2). Input: DFT lattice parameters and positions (PBE).
Kinematic intensities with the Lorentz-polarization factor, no thermal factor.

```
TmScNO
1.0
7.7147 0.0000 0.0000
0.0000 6.2968 0.0000
0.0000 0.0000 4.6464
Tm Sc N O
4 4 4 4
Cartesian
0.9920 0.3961 1.1616
0.9920 2.7524 3.4848
6.7227 3.5445 1.1616
6.7227 5.9008 3.4848
2.9386 3.7001 1.1616
2.9386 5.7451 3.4848
4.7761 0.5517 1.1616
4.7761 2.5967 3.4848
2.9723 3.6371 3.4848
2.9723 5.8082 1.1616
4.7423 0.4887 3.4848
4.7423 2.6597 1.1616
1.0972 0.5595 3.4848
1.0972 2.5889 1.1616
6.6175 3.7079 3.4848
6.6175 5.7373 1.1616
```

Top 8 peaks for 2θ from 15° to 90°, by angle:
2theta, I/Imax
26.49, 44
27.11, 34
28.35, 33
33.38, 100
34.41, 29
38.76, 35
49.43, 30
64.53, 26



[9]
# TaSnNO2
Computed PXRD pattern, Cu Kα (weighted mean of Kα1 and Kα2). Input: DFT lattice parameters and positions (PBE).
Kinematic intensities with the Lorentz-polarization factor, no thermal factor.

```
TaSnNO2
1.0
4.0219 0.0000 0.0000
0.0006 4.0712 0.0000
0.0013 0.0993 4.0878
Ta Sn N O
1 1 1 2
Cartesian
0.0000 0.0000 0.0000
2.0179 2.3179 2.2838
2.0043 3.9087 3.8140
4.0111 1.9955 3.8309
4.0111 3.8843 1.8964
```

Top 8 peaks for 2θ from 15° to 90°, by angle:
2theta, I/Imax
21.79, 14
30.62, 23
31.23, 100
31.39, 24
44.32, 11
44.52, 12
45.08, 14
55.72, 11



[10]
# SrTaNO2
Computed PXRD pattern, Cu Kα (weighted mean of Kα1 and Kα2). Input: DFT lattice parameters and positions (PBE).
Kinematic intensities with the Lorentz-polarization factor, no thermal factor.

```
SrTaNO2
1.0
-2.8128 2.8128 4.1013
2.8128 -2.8128 4.1013
2.8128 2.8128 -4.1013
Sr Ta N O
2 2 2 4
Cartesian
2.8128 0.0000 2.0506
0.0000 2.8128 2.0506
0.0000 0.0000 0.0000
0.0000 0.0000 4.1013
0.0000 0.0000 2.0506
0.0000 0.0000 6.1519
3.9321 1.1194 0.0000
1.1194 1.6934 0.0000
1.6934 1.1194 4.1013
-1.1194 1.6934 4.1013
```

Top 8 peaks for 2θ from 15° to 90°, by angle:
2theta, I/Imax
22.35, 19
31.33, 100
31.81, 50
44.17, 15
45.61, 25
55.45, 21
56.38, 42
65.36, 17